Starting from a GGA+U-relaxed structure, the powder diffraction line list of KTaWO7 was calculated for Cu Kα, 1.54184 Å.

Atomic structure:
Lattice parameters (Å, degrees): 7.473 7.473 7.473 120.02 119.66 90.27
Atoms (fractional coordinates):
K: 0.500 0.000 0.000
K: 0.500 0.500 0.500
Ta: 0.000 0.000 0.000
Ta: 0.500 0.000 0.500
W: 0.000 0.000 0.500
W: 0.000 0.500 0.000
O: 0.000 0.500 0.500
O: 0.057 0.307 0.750
O: 0.060 0.313 0.117
O: 0.060 0.943 0.747
O: 0.304 0.057 0.617
O: 0.304 0.687 0.247
O: 0.313 0.063 0.250
O: 0.500 0.500 0.000
O: 0.687 0.937 0.750
O: 0.696 0.313 0.753
O: 0.696 0.943 0.383
O: 0.940 0.057 0.253
O: 0.940 0.687 0.883
O: 0.943 0.693 0.250

Peak list (6 most intense, 15° ≤ 2θ ≤ 90°, low angle first)
2θ = 27.94°, intensity 61
2θ = 29.20°, intensity 100
2θ = 29.30°, intensity 100
2θ = 33.85°, intensity 49
2θ = 48.75°, intensity 67
2θ = 57.88°, intensity 43